(1)
For NpScRh14, a PBE-relaxed structure gives the computed powder XRD pattern in this record (Cu Kα, 1.54184 Å).
Kinematic intensities with the Lorentz-polarization factor, no thermal factor.

Peak list (10 most intense, 5° ≤ 2θ ≤ 70°, by angle)
d_spacing, Rel. int.
5.517, 5.8
4.516, 6.5
3.201, 2.5
2.354, 2.6
2.258, 100.0
2.090, 2.1
1.965, 16.2
1.951, 32.1
1.384, 20.3
1.379, 10.2

```
NpScRh14
1.0
5.517 0.000 0.000
0.000 5.517 0.000
0.000 0.000 7.859
Np Sc Rh
1 1 14
direct
0.000 0.000 0.000 Np
0.500 0.500 0.000 Sc
0.000 0.000 0.500 Rh
0.000 0.500 0.000 Rh
0.000 0.500 0.500 Rh
0.248 0.248 0.257 Rh
0.248 0.248 0.743 Rh
0.248 0.752 0.257 Rh
0.248 0.752 0.743 Rh
0.500 0.000 0.000 Rh
0.500 0.000 0.500 Rh
0.500 0.500 0.500 Rh
0.752 0.248 0.257 Rh
0.752 0.248 0.743 Rh
0.752 0.752 0.257 Rh
0.752 0.752 0.743 Rh
```

(2)
For Ba2CaGa2, a PBE-relaxed structure gives the computed powder XRD pattern in this record (Cu Kα, 1.54184 Å).
Kinematic intensities with the Lorentz-polarization factor, no thermal factor.

Peak list (10 most intense, 5° ≤ 2θ ≤ 70°, by angle)
d_spacing, Rel. int.
3.403, 64.0
3.364, 84.7
3.120, 24.1
3.049, 43.7
2.979, 100.0
2.964, 78.3
2.871, 89.9
2.752, 30.5
2.090, 29.9
1.677, 21.7

```
Ba2CaGa2
1.0
5.272 -2.871 0.000
5.272 2.871 0.000
-4.997 0.000 11.409
Ba Ca Ga
4 2 4
direct
0.106 0.106 0.397 Ba
0.305 0.305 0.786 Ba
0.695 0.695 0.214 Ba
0.894 0.894 0.603 Ba
0.318 0.318 0.110 Ca
0.682 0.682 0.890 Ca
0.025 0.025 0.905 Ga
0.425 0.425 0.390 Ga
0.575 0.575 0.610 Ga
0.975 0.975 0.095 Ga
```

(3)
For H4PtCl, a PBE-relaxed structure gives the computed powder XRD pattern in this record (Cu Kα, 1.54184 Å).
Kinematic intensities with the Lorentz-polarization factor, no thermal factor.

Peak list (10 most intense, 5° ≤ 2θ ≤ 70°, by angle)
d_spacing, Rel. int.
5.585, 100.0
4.889, 58.6
3.876, 65.8
3.509, 36.9
2.980, 33.5
2.777, 21.0
2.453, 17.7
2.327, 25.7
2.178, 18.4
1.940, 18.6

```
H4PtCl
1.0
3.004 0.000 0.000
-0.012 4.914 0.000
-0.698 -0.563 5.585
H Pt Cl
4 1 1
direct
0.000 0.000 0.000 H
0.060 0.762 0.264 H
0.486 0.641 0.946 H
0.577 0.510 0.334 H
0.532 0.889 0.142 Pt
0.608 0.289 0.463 Cl
```

(4)
For La2Nd5Er12, a PBE-relaxed structure gives the computed powder XRD pattern in this record (Cu Kα, 1.54184 Å).
Kinematic intensities with the Lorentz-polarization factor, no thermal factor.

Peak list (10 most intense, 5° ≤ 2θ ≤ 70°, by angle)
d_spacing, Rel. int.
2.926, 99.1
2.918, 98.3
2.530, 100.0
1.793, 23.9
1.789, 23.8
1.786, 23.6
1.528, 28.4
1.525, 42.3
1.523, 14.0
1.461, 12.2

```
La2Nd5Er12
1.0
6.194 0.000 0.000
-0.009 9.495 0.000
-1.047 -2.057 10.468
La Nd Er
2 5 12
direct
0.080 0.318 0.474 La
0.920 0.682 0.526 La
0.238 0.947 0.420 Nd
0.341 0.368 0.052 Nd
0.500 0.000 0.000 Nd
0.659 0.632 0.948 Nd
0.762 0.053 0.580 Nd
0.026 0.105 0.156 Er
0.132 0.526 0.792 Er
0.184 0.737 0.104 Er
0.288 0.158 0.739 Er
0.396 0.579 0.367 Er
0.445 0.789 0.686 Er
0.555 0.211 0.314 Er
0.604 0.421 0.633 Er
0.712 0.842 0.261 Er
0.816 0.263 0.896 Er
0.868 0.474 0.208 Er
0.974 0.895 0.844 Er
```